For Pa2Re3W, the GGA-PBE geometry in Alexandria gives the theoretical XRD peak list in this record (λ = 1.5418 Å (Cu Kα)).
No peak broadening, texture or thermal motion is included.

Main lines, in order of rising 2θ (10° ≤ 2θ ≤ 90°):
2θ = 33.80°, I = 53.8; 2θ = 34.31°, I = 53.0; 2θ = 36.80°, I = 99.1; 2θ = 37.04°, I = 97.0; 2θ = 37.17°, I = 100.0; 2θ = 37.64°, I = 94.6; 2θ = 40.48°, I = 92.2; 2θ = 42.31°, I = 64.6; 2θ = 71.10°, I = 45.0; 2θ = 72.31°, I = 42.9

Atomic structure:
```
Pa2Re3W
1.0
4.4273 -2.9241 0.0000
4.4273 2.9241 0.0000
-3.5918 0.0000 4.4405
Pa Re W
2 3 1
direct
0.1220 0.1220 0.3711 Pa
0.8780 0.8780 0.6289 Pa
0.0000 0.5000 0.0000 Re
0.5000 0.0000 0.0000 Re
0.5000 0.5000 0.5000 Re
0.5000 0.5000 0.0000 W
```